1.
The following is a simulated X-ray powder pattern of Rb2NdCuCl6. It was derived from a crystal structure in the Materials Project, relaxed with PBE, using Cu Ka.
Lines closer than 0.1° are merged.

Principal peaks in the range 2θ from 10° to 90°, by angle:
2θ (°), Rel. int.
23.77, 100
33.87, 74
41.80, 46
48.65, 50
54.84, 21
60.60, 16
66.04, 24
81.28, 21

Structural model:
Lattice parameters (Å, degrees): 7.4861 7.4861 7.4861 60.00 60.00 60.00
Element x y z (fractional)
Rb  0.2500  0.2500  0.2500
Rb  0.7500  0.7500  0.7500
Nd  0.0000  0.0000  0.0000
Cu  0.5000  0.5000  0.5000
Cl  0.2580  0.2580  0.7420
Cl  0.2580  0.7420  0.2580
Cl  0.2580  0.7420  0.7420
Cl  0.7420  0.2580  0.2580
Cl  0.7420  0.2580  0.7420
Cl  0.7420  0.7420  0.2580

---

2.
The following is a simulated X-ray powder pattern of Mg2Cd. It was derived from a crystal structure in the Materials Project, relaxed with PBE, using Cu Ka.
Lines closer than 0.1° are merged.

Principal peaks in the range 2θ from 10° to 90°, by angle:
2θ (°), Rel. int.
11.10, 26
33.00, 23
33.49, 19
33.74, 29
34.92, 29
37.20, 100
62.63, 20
69.67, 19

Structural model:
Lattice parameters (Å, degrees): 3.1340 3.1340 15.9390 90.00 90.00 120.00
Element x y z (fractional)
Mg  0.3333  0.6667  0.2516
Mg  0.3333  0.6667  0.9164
Mg  0.6667  0.3333  0.0836
Mg  0.6667  0.3333  0.7484
Cd  0.3333  0.6667  0.5845
Cd  0.6667  0.3333  0.4155

---

3.
The following is a simulated X-ray powder pattern of CeSbRh. It was derived from a crystal structure in the Materials Project, relaxed with PBE, using Cu Ka.
Lines closer than 0.1° are merged.

Principal peaks in the range 2θ from 10° to 90°, by angle:
2θ (°), Rel. int.
31.60, 57
32.23, 44
33.31, 52
33.47, 100
34.07, 39
38.09, 87
40.85, 61
71.47, 33

Structural model:
Lattice parameters (Å, degrees): 10.8770 4.4186 7.2348 90.00 129.54 90.00
Element x y z (fractional)
Ce  0.0631  0.0000  0.3325
Ce  0.4369  0.5000  0.6676
Ce  0.5631  0.5000  0.3325
Ce  0.9369  0.0000  0.6676
Sb  0.1674  0.5000  0.0844
Sb  0.3326  0.0000  0.9156
Sb  0.6674  0.0000  0.0844
Sb  0.8326  0.5000  0.9156
Rh  0.1648  0.5000  0.6938
Rh  0.3352  0.0000  0.3062
Rh  0.6648  0.0000  0.6938
Rh  0.8352  0.5000  0.3062

---

4.
The following is a simulated X-ray powder pattern of Zr3Tl2Cu2Se8. It was derived from a crystal structure in the Materials Project, relaxed with PBE, using Cu Ka.
Lines closer than 0.1° are merged.

Principal peaks in the range 2θ from 10° to 90°, by angle:
2θ (°), Rel. int.
13.39, 26
29.81, 64
30.47, 100
31.77, 46
33.88, 54
36.70, 29
47.10, 36
56.06, 26

Structural model:
Lattice parameters (Å, degrees): 7.6892 7.6892 14.5342 113.63 113.63 29.06
Element x y z (fractional)
Zr  0.0000  0.0000  0.0000
Zr  0.1545  0.1545  0.3802
Zr  0.8455  0.8455  0.6198
Tl  0.1684  0.1684  0.8016
Tl  0.8316  0.8316  0.1984
Cu  0.4573  0.4573  0.8020
Cu  0.5427  0.5427  0.1980
Se  0.1449  0.1449  0.1907
Se  0.2037  0.2037  0.5815
Se  0.3927  0.3927  0.0421
Se  0.4829  0.4829  0.6471
Se  0.5171  0.5171  0.3529
Se  0.6073  0.6073  0.9579
Se  0.7963  0.7963  0.4185
Se  0.8551  0.8551  0.8093